(1)
Structure and computed PXRD pattern of Ca5V3O13 (a structure optimized by DFT (GGA+U); Cu Kα X-rays).
Intensities are scaled so that the largest is 100.

Cell and atoms:
abc: 10.0155 10.0155 6.9564
angles: 90.00 90.00 120.00
Sites, in units of the cell vectors:
Ca: 0.0144 0.7624 0.0000
Ca: 0.2376 0.2520 0.0000
Ca: 0.2520 0.0144 0.5000
Ca: 0.3333 0.6667 0.2526
Ca: 0.3333 0.6667 0.7472
Ca: 0.6667 0.3333 0.2472
Ca: 0.6667 0.3333 0.7526
Ca: 0.7480 0.9856 0.0000
Ca: 0.7624 0.7480 0.5000
Ca: 0.9856 0.2376 0.5000
V: 0.0290 0.4017 0.9991
V: 0.3727 0.9710 0.9991
V: 0.4017 0.3727 0.4991
V: 0.5983 0.6273 0.9991
V: 0.6273 0.0290 0.4991
V: 0.9710 0.5983 0.4991
O: 0.0000 0.0000 0.4991
O: 0.0000 0.0000 0.9991
O: 0.0839 0.3311 0.1932
O: 0.0913 0.3429 0.8007
O: 0.1362 0.6047 0.0048
O: 0.1675 0.6672 0.4971
O: 0.2472 0.9161 0.1932
O: 0.2517 0.9087 0.8007
O: 0.3311 0.2472 0.6932
O: 0.3328 0.5003 0.4971
O: 0.3429 0.2517 0.3007
O: 0.3953 0.5315 0.0048
O: 0.4685 0.8638 0.0048
O: 0.5003 0.1675 0.9971
O: 0.4997 0.8325 0.4971
O: 0.5315 0.1362 0.5048
O: 0.6047 0.4685 0.5048
O: 0.6571 0.7483 0.8007
O: 0.6672 0.4997 0.9971
O: 0.6689 0.7528 0.1932
O: 0.7483 0.0913 0.3007
O: 0.7528 0.0839 0.6932
O: 0.8325 0.3328 0.9971
O: 0.8638 0.3953 0.5048
O: 0.9087 0.6571 0.3007
O: 0.9161 0.6689 0.6932

Principal peaks in the range 2θ from 5° to 70°, sorted by position:
10.20 deg, intensity 17
21.87 deg, intensity 19
25.61 deg, intensity 34
30.14 deg, intensity 100
30.93 deg, intensity 54
31.31 deg, intensity 34
33.01 deg, intensity 28
44.59 deg, intensity 29
48.06 deg, intensity 42
52.63 deg, intensity 17
53.02 deg, intensity 21
59.55 deg, intensity 16



(2)
Structure and computed PXRD pattern of KAlCr2H2O8 (a structure optimized by DFT (GGA+U); Cu Kα X-rays).
Intensities are scaled so that the largest is 100.

Cell and atoms:
abc: 6.3312 6.3312 7.6792
angles: 112.44 112.44 50.23
Sites, in units of the cell vectors:
K: 0.0000 0.0000 0.0000
Al: 0.0000 0.0000 0.5000
Cr: 0.3900 0.3900 0.2195
Cr: 0.6100 0.6100 0.7805
H: 0.1887 0.1887 0.5834
H: 0.8113 0.8113 0.4166
O: 0.2165 0.7430 0.3178
O: 0.2570 0.7835 0.6822
O: 0.2618 0.2618 0.2581
O: 0.3524 0.3524 0.9909
O: 0.6476 0.6476 0.0091
O: 0.7382 0.7382 0.7419
O: 0.7430 0.2165 0.3178
O: 0.7835 0.2570 0.6822

Principal peaks in the range 2θ from 5° to 70°, sorted by position:
16.43 deg, intensity 100
17.06 deg, intensity 55
20.42 deg, intensity 30
24.56 deg, intensity 58
25.34 deg, intensity 20
28.69 deg, intensity 84
30.70 deg, intensity 53
33.34 deg, intensity 26
34.70 deg, intensity 15
35.07 deg, intensity 16
46.85 deg, intensity 16
47.77 deg, intensity 18



(3)
Structure and computed PXRD pattern of Sr5Ca3FeCo7O24 (a structure optimized by DFT (GGA+U); Cu Kα X-rays).
Intensities are scaled so that the largest is 100.

Cell and atoms:
abc: 7.7312 7.7312 7.6476
angles: 90.02 90.02 89.94
Sites, in units of the cell vectors:
Sr: 0.0000 0.0000 0.0000
Sr: 0.9999 0.9999 0.4951
Sr: 0.0005 0.4955 0.4954
Sr: 0.4955 0.0005 0.4954
Sr: 0.4954 0.4954 0.4948
Ca: 0.0049 0.4917 0.0057
Ca: 0.4917 0.0049 0.0057
Ca: 0.4925 0.4925 0.0054
Fe: 0.2485 0.2485 0.7504
Co: 0.2480 0.2480 0.2465
Co: 0.2482 0.7472 0.2462
Co: 0.2489 0.7471 0.7520
Co: 0.7472 0.2482 0.2462
Co: 0.7471 0.2489 0.7520
Co: 0.7467 0.7467 0.2437
Co: 0.7467 0.7467 0.7504
O: 0.0038 0.2542 0.2413
O: 0.0131 0.7463 0.7506
O: 0.2483 0.2483 0.4943
O: 0.2482 0.4925 0.2400
O: 0.2482 0.7478 0.4822
O: 0.2485 0.4988 0.7556
O: 0.2492 0.7453 0.0117
O: 0.2511 0.2511 0.0023
O: 0.2511 0.9972 0.7537
O: 0.2542 0.0038 0.2413
O: 0.4831 0.7465 0.7520
O: 0.4925 0.2482 0.2400
O: 0.4988 0.2485 0.7556
O: 0.5051 0.7447 0.2394
O: 0.7453 0.2492 0.0117
O: 0.7447 0.5051 0.2394
O: 0.7454 0.9895 0.2428
O: 0.7463 0.0131 0.7506
O: 0.7465 0.4831 0.7520
O: 0.7458 0.7458 0.9806
O: 0.7469 0.7469 0.5140
O: 0.7478 0.2482 0.4822
O: 0.9895 0.7454 0.2428
O: 0.9972 0.2511 0.7537

Principal peaks in the range 2θ from 5° to 70°, sorted by position:
11.57 deg, intensity 4
25.82 deg, intensity 5
32.76 deg, intensity 51
32.95 deg, intensity 100
34.85 deg, intensity 2
40.57 deg, intensity 13
47.01 deg, intensity 42
47.56 deg, intensity 20
58.60 deg, intensity 37
58.95 deg, intensity 18
68.68 deg, intensity 12
69.11 deg, intensity 22



(4)
Structure and computed PXRD pattern of Sr4CaMn2Ga2O11 (a structure optimized by DFT (GGA+U); Cu Kα X-rays).
Intensities are scaled so that the largest is 100.

Cell and atoms:
abc: 5.5450 5.5489 9.3816
angles: 79.69 80.44 85.42
Sites, in units of the cell vectors:
Sr: 0.0000 0.0000 0.0000
Sr: 0.0772 0.1062 0.5831
Sr: 0.5228 0.5270 0.9763
Sr: 0.6381 0.6718 0.5780
Ca: 0.4340 0.4193 0.3581
Mn: 0.4508 0.9645 0.2003
Mn: 0.9701 0.4461 0.1995
Ga: 0.0641 0.5769 0.7717
Ga: 0.5644 0.0768 0.7716
O: 0.0664 0.4618 0.9735
O: 0.1808 0.1741 0.2880
O: 0.1835 0.5679 0.5685
O: 0.2294 0.6862 0.1918
O: 0.3115 0.8352 0.7695
O: 0.4654 0.0627 0.9780
O: 0.5827 0.1679 0.5584
O: 0.6928 0.2282 0.1901
O: 0.7089 0.7061 0.2404
O: 0.7985 0.3367 0.7659
O: 0.8144 0.8252 0.7748

Principal peaks in the range 2θ from 5° to 70°, sorted by position:
9.70 deg, intensity 38
30.66 deg, intensity 30
30.96 deg, intensity 41
32.68 deg, intensity 100
32.82 deg, intensity 50
33.26 deg, intensity 37
37.87 deg, intensity 25
38.24 deg, intensity 16
44.46 deg, intensity 36
48.39 deg, intensity 27
50.01 deg, intensity 22
59.80 deg, intensity 17



What did the third record say?
Structure and computed PXRD pattern of Sr5Ca3FeCo7O24 (a structure optimized by DFT (GGA+U); Cu Kα X-rays).
Intensities are scaled so that the largest is 100.

Cell and atoms:
abc: 7.7312 7.7312 7.6476
angles: 90.02 90.02 89.94
Sites, in units of the cell vectors:
Sr: 0.0000 0.0000 0.0000
Sr: 0.9999 0.9999 0.4951
Sr: 0.0005 0.4955 0.4954
Sr: 0.4955 0.0005 0.4954
Sr: 0.4954 0.4954 0.4948
Ca: 0.0049 0.4917 0.0057
Ca: 0.4917 0.0049 0.0057
Ca: 0.4925 0.4925 0.0054
Fe: 0.2485 0.2485 0.7504
Co: 0.2480 0.2480 0.2465
Co: 0.2482 0.7472 0.2462
Co: 0.2489 0.7471 0.7520
Co: 0.7472 0.2482 0.2462
Co: 0.7471 0.2489 0.7520
Co: 0.7467 0.7467 0.2437
Co: 0.7467 0.7467 0.7504
O: 0.0038 0.2542 0.2413
O: 0.0131 0.7463 0.7506
O: 0.2483 0.2483 0.4943
O: 0.2482 0.4925 0.2400
O: 0.2482 0.7478 0.4822
O: 0.2485 0.4988 0.7556
O: 0.2492 0.7453 0.0117
O: 0.2511 0.2511 0.0023
O: 0.2511 0.9972 0.7537
O: 0.2542 0.0038 0.2413
O: 0.4831 0.7465 0.7520
O: 0.4925 0.2482 0.2400
O: 0.4988 0.2485 0.7556
O: 0.5051 0.7447 0.2394
O: 0.7453 0.2492 0.0117
O: 0.7447 0.5051 0.2394
O: 0.7454 0.9895 0.2428
O: 0.7463 0.0131 0.7506
O: 0.7465 0.4831 0.7520
O: 0.7458 0.7458 0.9806
O: 0.7469 0.7469 0.5140
O: 0.7478 0.2482 0.4822
O: 0.9895 0.7454 0.2428
O: 0.9972 0.2511 0.7537

Principal peaks in the range 2θ from 5° to 70°, sorted by position:
11.57 deg, intensity 4
25.82 deg, intensity 5
32.76 deg, intensity 51
32.95 deg, intensity 100
34.85 deg, intensity 2
40.57 deg, intensity 13
47.01 deg, intensity 42
47.56 deg, intensity 20
58.60 deg, intensity 37
58.95 deg, intensity 18
68.68 deg, intensity 12
69.11 deg, intensity 22



Repeat the fourth record exactly.
Structure and computed PXRD pattern of Sr4CaMn2Ga2O11 (a structure optimized by DFT (GGA+U); Cu Kα X-rays).
Intensities are scaled so that the largest is 100.

Cell and atoms:
abc: 5.5450 5.5489 9.3816
angles: 79.69 80.44 85.42
Sites, in units of the cell vectors:
Sr: 0.0000 0.0000 0.0000
Sr: 0.0772 0.1062 0.5831
Sr: 0.5228 0.5270 0.9763
Sr: 0.6381 0.6718 0.5780
Ca: 0.4340 0.4193 0.3581
Mn: 0.4508 0.9645 0.2003
Mn: 0.9701 0.4461 0.1995
Ga: 0.0641 0.5769 0.7717
Ga: 0.5644 0.0768 0.7716
O: 0.0664 0.4618 0.9735
O: 0.1808 0.1741 0.2880
O: 0.1835 0.5679 0.5685
O: 0.2294 0.6862 0.1918
O: 0.3115 0.8352 0.7695
O: 0.4654 0.0627 0.9780
O: 0.5827 0.1679 0.5584
O: 0.6928 0.2282 0.1901
O: 0.7089 0.7061 0.2404
O: 0.7985 0.3367 0.7659
O: 0.8144 0.8252 0.7748

Principal peaks in the range 2θ from 5° to 70°, sorted by position:
9.70 deg, intensity 38
30.66 deg, intensity 30
30.96 deg, intensity 41
32.68 deg, intensity 100
32.82 deg, intensity 50
33.26 deg, intensity 37
37.87 deg, intensity 25
38.24 deg, intensity 16
44.46 deg, intensity 36
48.39 deg, intensity 27
50.01 deg, intensity 22
59.80 deg, intensity 17